No. 1
The following is a simulated X-ray powder pattern of Er3GeP. It was derived from a structure optimized by DFT (GGA-PBE), using copper Kα.
No peak broadening, texture or thermal motion is included.

Atomic structure:
```
data_Er3GeP
_symmetry_space_group_name_H-M 'I m m a'
_symmetry_Int_Tables_number 74
_symmetry_space_group_name_Hall '-I 2b 2'
_cell_length_a 7.500
_cell_length_b 10.142
_cell_length_c 7.372
_cell_angle_alpha 90.00
_cell_angle_beta 90.00
_cell_angle_gamma 90.00
loop_
_atom_site_label
_atom_site_type_symbol
_atom_site_fract_x
_atom_site_fract_y
_atom_site_fract_z
_atom_site_occupancy
Er1 Er 0.000 0.250 0.213 1
Er2 Er 0.250 0.086 0.750 1
Ge1 Ge 0.000 0.000 0.000 1
P1 P 0.000 0.250 0.580 1
```

Main lines, sorted by position (10° ≤ 2θ ≤ 80°):
two_theta	d [Å]	I_rel
24.1	3.686	520
28.1	3.174	955
29.1	3.073	1000
29.6	3.015	323
38.6	2.334	551
43.1	2.100	314
45.6	1.988	306
57.6	1.601	297

---

No. 2
The following is a simulated X-ray powder pattern of CsK4CuSb2. It was derived from a structure optimized by DFT (GGA-PBE), using copper Kα.
No peak broadening, texture or thermal motion is included.

Atomic structure:
```
data_CsK4CuSb2
_symmetry_space_group_name_H-M 'R -3 m'
_symmetry_Int_Tables_number 166
_symmetry_space_group_name_Hall '-R 3 2"'
_cell_length_a 6.0435
_cell_length_b 6.0435
_cell_length_c 28.8794
_cell_angle_alpha 90.00
_cell_angle_beta 90.00
_cell_angle_gamma 120.00
loop_
_atom_site_label
_atom_site_type_symbol
_atom_site_fract_x
_atom_site_fract_y
_atom_site_fract_z
_atom_site_occupancy
Cs1 Cs 0.0000 0.0000 0.0000 1
K1 K 0.0000 0.0000 0.1359 1
K2 K 0.0000 0.0000 0.2801 1
Cu1 Cu 0.0000 0.0000 0.5000 1
Sb1 Sb 0.0000 0.0000 0.4133 1
```

Main lines, sorted by position (10° ≤ 2θ ≤ 80°):
two_theta	d [Å]	I_rel
18.0	4.921	441
22.9	3.878	160
27.5	3.240	549
29.6	3.022	1000
35.5	2.529	186
40.8	2.210	181
51.2	1.784	181
52.4	1.745	187

---

No. 3
The following is a simulated X-ray powder pattern of Li3Pr2NdPb3. It was derived from a structure optimized by DFT (GGA-PBE), using copper Kα.
No peak broadening, texture or thermal motion is included.

Atomic structure:
```
data_Li3Pr2NdPb3
_symmetry_space_group_name_H-M 'P -6 m 2'
_symmetry_Int_Tables_number 187
_symmetry_space_group_name_Hall 'P -6 2'
_cell_length_a 4.8479
_cell_length_b 4.8479
_cell_length_c 11.5989
_cell_angle_alpha 90.00
_cell_angle_beta 90.00
_cell_angle_gamma 120.00
loop_
_atom_site_label
_atom_site_type_symbol
_atom_site_fract_x
_atom_site_fract_y
_atom_site_fract_z
_atom_site_occupancy
Li1 Li 0.0000 0.0000 0.0000 1
Li2 Li 0.6667 0.3333 0.3113 1
Pr1 Pr 0.3333 0.6667 0.1644 1
Nd1 Nd 0.3333 0.6667 0.5000 1
Pb1 Pb 0.0000 0.0000 0.3280 1
Pb2 Pb 0.6667 0.3333 0.0000 1
```

Main lines, sorted by position (10° ≤ 2θ ≤ 80°):
two_theta	d [Å]	I_rel
22.5	3.948	440
26.2	3.401	360
31.5	2.844	1000
37.1	2.424	624
49.4	1.845	287
61.3	1.511	286
63.4	1.468	274
66.9	1.399	114